For NaCrCo2F8, a cell relaxed with PBE+U gives the calculated XRD peak list in this record (Cu Kα (weighted mean of Kα1 and Kα2)).

Most intense lines, 2θ from 5° to 70°, low angle first:
2θ/deg  d/Å  I/Imax
26.09  3.416  100
26.32  3.386  94
33.35  2.687  97
38.29  2.350  44
50.75  1.799  34
50.92  1.793  35
51.02  1.790  31
51.19  1.785  31
54.18  1.693  21
56.85  1.620  21
64.69  1.441  26
65.11  1.433  24

Atomic structure:
a = 4.7921 Å, b = 6.4782 Å, c = 4.8268 Å
α = 90.00°, β = 90.51°, γ = 90.00°
Space group P2/m (No. 10)
Unique sites:
Na 0.0000 0.0000 0.0000
Cr 0.0000 0.5000 0.0000
Co 0.5000 0.2476 0.5000
F 0.2007 0.2830 0.1971
F 0.2911 0.5000 0.7053
F 0.3188 0.0000 0.6818